[1]
For Li9Mn2Co5O16, a structure optimized by DFT (GGA+U) gives the simulated powder diffractogram in this record (Cu Kα).
Neutral-atom scattering factors, no anomalous dispersion.

Atomic structure:
```
data_Li9Mn2Co5O16
_cell_length_a 10.404
_cell_length_b 11.487
_cell_length_c 5.177
_cell_angle_alpha 90.00
_cell_angle_beta 111.85
_cell_angle_gamma 90.00
_symmetry_space_group_name_H-M 'C 1 2 1'
_symmetry_Int_Tables_number 5
loop_
_symmetry_equiv_pos_as_xyz
'x,y,z'
'-x,y,-z'
'x+1/2,y+1/2,z'
'-x+1/2,y+1/2,-z'
loop_
_atom_site_label
_atom_site_fract_x
_atom_site_fract_y
_atom_site_fract_z
_atom_site_occupancy
Li1 0.000 0.000 0.000 1
Li2 0.240 0.001 0.485 1
Li3 0.243 0.123 0.998 1
Li4 0.243 0.876 0.004 1
Li5 0.250 0.248 0.500 1
Mn1 0.000 0.373 0.500 1
Mn2 0.000 0.876 0.500 1
Co1 0.000 0.123 0.500 1
Co2 0.000 0.246 0.000 1
Co3 0.000 0.500 0.000 1
Co4 0.000 0.626 0.500 1
Co5 0.000 0.751 0.000 1
O1 0.100 0.375 0.245 1
O2 0.106 0.623 0.232 1
O3 0.106 0.867 0.254 1
O4 0.108 0.133 0.249 1
O5 0.119 0.496 0.727 1
O6 0.119 0.752 0.728 1
O7 0.121 0.256 0.731 1
O8 0.121 0.995 0.723 1
```

Main lines, in order of rising 2θ (15° ≤ 2θ ≤ 90°):
Position (°2θ)  Rel. int.
18.38  100
34.98  16
36.45  25
37.67  7
42.04  30
44.33  51
47.41  9
58.38  9
62.62  14
62.88  15

[2]
For SrMg6NiO8, a structure optimized by DFT (GGA+U) gives the simulated powder diffractogram in this record (Cu Kα).
Neutral-atom scattering factors, no anomalous dispersion.

Atomic structure:
```
data_SrMg6NiO8
_cell_length_a 4.470
_cell_length_b 4.470
_cell_length_c 8.705
_cell_angle_alpha 90.00
_cell_angle_beta 90.00
_cell_angle_gamma 90.00
_symmetry_space_group_name_H-M 'P 4/m m m'
_symmetry_Int_Tables_number 123
_symmetry_space_group_name_Hall '-P 4 2'
loop_
_atom_site_label
_atom_site_fract_x
_atom_site_fract_y
_atom_site_fract_z
_atom_site_occupancy
Sr1 0.000 0.000 0.000 1
Mg1 0.000 0.000 0.500 1
Mg2 0.000 0.500 0.259 1
Mg3 0.500 0.500 0.500 1
Ni1 0.500 0.500 0.000 1
O1 0.000 0.000 0.273 1
O2 0.000 0.500 0.000 1
O3 0.000 0.500 0.500 1
O4 0.500 0.500 0.251 1
```

Main lines, in order of rising 2θ (15° ≤ 2θ ≤ 90°):
Position (°2θ)  Rel. int.
20.40  17
28.23  14
30.08  25
35.09  48
40.35  100
41.49  44
58.39  30
59.26  55
69.97  16
74.15  26

[3]
For CdFe4NiO8, a structure optimized by DFT (GGA+U) gives the simulated powder diffractogram in this record (Cu Kα).
Neutral-atom scattering factors, no anomalous dispersion.

Atomic structure:
```
data_CdFe4NiO8
_cell_length_a 6.1399
_cell_length_b 6.1399
_cell_length_c 15.0424
_cell_angle_alpha 90.00
_cell_angle_beta 90.00
_cell_angle_gamma 120.00
_symmetry_space_group_name_H-M 'R 3 m'
_symmetry_Int_Tables_number 160
_symmetry_space_group_name_Hall 'R 3 -2"'
loop_
_atom_site_label
_atom_site_fract_x
_atom_site_fract_y
_atom_site_fract_z
_atom_site_occupancy
Cd1 0.0000 0.0000 0.0000 1
Fe1 0.0000 0.0000 0.2470 1
Fe2 0.1694 0.3389 0.4563 1
Ni1 0.0000 0.0000 0.6249 1
O1 0.0000 0.0000 0.3807 1
O2 0.0000 0.0000 0.8580 1
O3 0.0430 0.5215 0.3822 1
O4 0.1735 0.3471 0.2028 1
```

Main lines, in order of rising 2θ (15° ≤ 2θ ≤ 90°):
Position (°2θ)  Rel. int.
29.09  41
34.25  100
35.82  8
41.60  9
51.56  15
54.94  36
60.29  39
71.20  11
83.27  8
85.99  18

[4]
For Tb2MnCrO6, a structure optimized by DFT (GGA+U) gives the simulated powder diffractogram in this record (Cu Kα).
Neutral-atom scattering factors, no anomalous dispersion.

Atomic structure:
```
data_Tb2MnCrO6
_cell_length_a 5.382
_cell_length_b 5.750
_cell_length_c 9.188
_cell_angle_alpha 90.00
_cell_angle_beta 125.28
_cell_angle_gamma 90.00
_symmetry_space_group_name_H-M 'P 1 21/c 1'
_symmetry_Int_Tables_number 14
loop_
_symmetry_equiv_pos_as_xyz
'x,y,z'
'-x,-y,-z'
'-x,y+1/2,-z+1/2'
'x,-y+1/2,z+1/2'
loop_
_atom_site_label
_atom_site_fract_x
_atom_site_fract_y
_atom_site_fract_z
_atom_site_occupancy
Tb1 0.231 0.071 0.250 1
Mn1 0.500 0.000 0.000 1
Cr1 0.000 0.000 0.500 1
O1 0.135 0.195 0.946 1
O2 0.246 0.686 0.943 1
O3 0.367 0.040 0.755 1
```

Main lines, in order of rising 2θ (15° ≤ 2θ ≤ 90°):
Position (°2θ)  Rel. int.
22.63  44
23.73  29
31.11  36
32.89  100
33.14  95
33.33  84
46.21  33
48.55  27
52.10  43
59.58  28

[5]
For Li5Mn3O8, a structure optimized by DFT (GGA+U) gives the simulated powder diffractogram in this record (Cu Kα).
Neutral-atom scattering factors, no anomalous dispersion.

Atomic structure:
```
data_Li5Mn3O8
_cell_length_a 5.054
_cell_length_b 5.772
_cell_length_c 5.915
_cell_angle_alpha 60.86
_cell_angle_beta 74.21
_cell_angle_gamma 73.42
_symmetry_space_group_name_H-M 'P -1'
_symmetry_Int_Tables_number 2
loop_
_symmetry_equiv_pos_as_xyz
'x,y,z'
'-x,-y,-z'
loop_
_atom_site_label
_atom_site_fract_x
_atom_site_fract_y
_atom_site_fract_z
_atom_site_occupancy
Li1 0.000 0.000 0.000 1
Li2 0.491 0.763 0.239 1
Li3 0.494 0.247 0.250 1
Mn1 0.000 0.000 0.500 1
Mn2 0.000 0.500 0.000 1
Mn3 0.000 0.500 0.500 1
O1 0.219 0.608 0.149 1
O2 0.220 0.133 0.147 1
O3 0.224 0.138 0.611 1
O4 0.235 0.644 0.596 1
```

Main lines, in order of rising 2θ (15° ≤ 2θ ≤ 90°):
Position (°2θ)  Rel. int.
17.39  14
18.56  100
23.38  12
35.19  13
36.23  12
36.27  11
42.76  31
44.12  57
47.82  10
63.38  15

[6]
For ScCrO3, a structure optimized by DFT (GGA+U) gives the simulated powder diffractogram in this record (Cu Kα).
Neutral-atom scattering factors, no anomalous dispersion.

Atomic structure:
```
data_ScCrO3
_cell_length_a 5.408
_cell_length_b 7.554
_cell_length_c 5.089
_cell_angle_alpha 90.00
_cell_angle_beta 90.00
_cell_angle_gamma 90.00
_symmetry_space_group_name_H-M 'P n m a'
_symmetry_Int_Tables_number 62
loop_
_symmetry_equiv_pos_as_xyz
'x,y,z'
'-x,-y,-z'
'-x+1/2,-y,z+1/2'
'x+1/2,y,-z+1/2'
'x+1/2,-y+1/2,-z+1/2'
'-x+1/2,y+1/2,z+1/2'
'-x,y+1/2,-z'
'x,-y+1/2,z'
loop_
_atom_site_label
_atom_site_fract_x
_atom_site_fract_y
_atom_site_fract_z
_atom_site_occupancy
Sc1 0.069 0.250 0.026 1
Cr1 0.000 0.000 0.500 1
O1 0.064 0.750 0.358 1
O2 0.191 0.573 0.814 1
```

Main lines, in order of rising 2θ (15° ≤ 2θ ≤ 90°):
Position (°2θ)  Rel. int.
26.79  9
33.13  20
33.89  100
35.27  17
48.19  14
49.17  21
55.43  9
59.70  24
61.11  11
62.42  25

Please write out number 2 again, unchanged.
For SrMg6NiO8, a structure optimized by DFT (GGA+U) gives the simulated powder diffractogram in this record (Cu Kα).
Neutral-atom scattering factors, no anomalous dispersion.

Atomic structure:
```
data_SrMg6NiO8
_cell_length_a 4.470
_cell_length_b 4.470
_cell_length_c 8.705
_cell_angle_alpha 90.00
_cell_angle_beta 90.00
_cell_angle_gamma 90.00
_symmetry_space_group_name_H-M 'P 4/m m m'
_symmetry_Int_Tables_number 123
_symmetry_space_group_name_Hall '-P 4 2'
loop_
_atom_site_label
_atom_site_fract_x
_atom_site_fract_y
_atom_site_fract_z
_atom_site_occupancy
Sr1 0.000 0.000 0.000 1
Mg1 0.000 0.000 0.500 1
Mg2 0.000 0.500 0.259 1
Mg3 0.500 0.500 0.500 1
Ni1 0.500 0.500 0.000 1
O1 0.000 0.000 0.273 1
O2 0.000 0.500 0.000 1
O3 0.000 0.500 0.500 1
O4 0.500 0.500 0.251 1
```

Main lines, in order of rising 2θ (15° ≤ 2θ ≤ 90°):
Position (°2θ)  Rel. int.
20.40  17
28.23  14
30.08  25
35.09  48
40.35  100
41.49  44
58.39  30
59.26  55
69.97  16
74.15  26

What is the formula in the first record?
Li9Mn2Co5O16